# SmMg2Cu9
Calculated powder diffractogram, λ = 1.5418 Å (Cu Kα). Input: a structure optimized by DFT (GGA-PBE).

Largest 6 diffraction maxima, sorted by position, 2θ = 10–80°:
| 2theta | Rel. int. | (hkl) |
| --- | --- | --- |
| 11.1 | 36 | 0 0 2 |
| 26.3 | 23 | 1 0 3 |
| 41.4 | 40 | 2 0 1 |
| 42.1 | 100 | 1 1 4 |
| 45.4 | 28 | 0 0 8 |
| 68.1 | 22 | 3 0 4 |

Crystal structure
a b c (Å): 5.081 5.081 15.990
angles (deg): 90.00 90.00 120.00
Element x y z (fractional)
Sm (0.333, 0.667, 0.250)
Sm (0.667, 0.333, 0.750)
Mg (0.333, 0.667, 0.032)
Mg (0.333, 0.667, 0.468)
Mg (0.667, 0.333, 0.532)
Mg (0.667, 0.333, 0.968)
Cu (0.000, 0.000, 0.000)
Cu (0.000, 0.000, 0.250)
Cu (0.000, 0.000, 0.500)
Cu (0.000, 0.000, 0.750)
Cu (0.168, 0.337, 0.622)
Cu (0.168, 0.337, 0.878)
Cu (0.168, 0.832, 0.622)
Cu (0.168, 0.832, 0.878)
Cu (0.333, 0.667, 0.750)
Cu (0.337, 0.168, 0.122)
Cu (0.337, 0.168, 0.378)
Cu (0.663, 0.832, 0.622)
Cu (0.663, 0.832, 0.878)
Cu (0.667, 0.333, 0.250)
Cu (0.832, 0.168, 0.122)
Cu (0.832, 0.168, 0.378)
Cu (0.832, 0.663, 0.122)
Cu (0.832, 0.663, 0.378)